Starting from a PBE-relaxed structure, the X-ray diffraction stick pattern of NaGe2Pd3 was computed for Cu Kα.
Intensities are scaled so that the largest is 1000.

Structural model:
```
NaGe2Pd3
1.0
-3.6809 4.9891 2.9843
3.6809 -4.9891 2.9843
3.6809 4.9891 -2.9843
Na Ge Pd
2 4 6
direct
0.4503 0.2003 0.2500
0.5497 0.7997 0.7500
0.1126 0.6871 0.4255
0.2384 0.3129 0.9255
0.7616 0.6871 0.0745
0.8874 0.3129 0.5745
0.0000 0.0000 0.5000
0.0000 0.2009 0.2009
0.0000 0.5000 0.0000
0.0000 0.7991 0.7991
0.5000 0.2009 0.7009
0.5000 0.7991 0.2991
```

Main lines, in order of falling intensity (10 to 90 degrees two-theta):
d [Å]  I/Imax
5.122  1000
2.102  942
2.281  807
2.065  768
4.989  646
2.561  621
2.495  336
2.270  275
1.453  257
2.318  221